1.
This entry pairs a crystal structure of Nd6YTh2 with its calculated powder XRD pattern. Radiation: λ = 1.5418 Å (Cu Kα). Structure: DFT lattice parameters and positions (PBE).

Peak list (10 most intense, 2θ = 10–90°, low angle first)
- 3.142 Å, 28.4 deg, I 50
- 3.025 Å, 29.5 deg, I 57
- 2.969 Å, 30.1 deg, I 31
- 2.853 Å, 31.4 deg, I 68
- 2.722 Å, 32.9 deg, I 100
- 2.583 Å, 34.7 deg, I 24
- 2.179 Å, 41.4 deg, I 35
- 1.814 Å, 50.3 deg, I 42
- 1.654 Å, 55.6 deg, I 32
- 1.556 Å, 59.4 deg, I 48

Atomic structure:
Lattice parameters (Å, degrees): 3.6285 3.6285 27.2268 90.00 90.00 120.00
Fractional coordinates of all 9 atoms:
Nd  0.0000  0.0000  0.0633
Nd  0.0000  0.0000  0.2788
Nd  0.0000  0.0000  0.7212
Nd  0.0000  0.0000  0.9367
Nd  0.3333  0.6667  0.3924
Nd  0.3333  0.6667  0.6076
Y  0.0000  0.0000  0.5000
Th  0.3333  0.6667  0.1701
Th  0.3333  0.6667  0.8299

***

2.
This entry pairs a crystal structure of Pb3Br2 with its calculated powder XRD pattern. Radiation: λ = 1.5418 Å (Cu Kα). Structure: DFT lattice parameters and positions (PBE).

Peak list (10 most intense, 2θ = 10–90°, low angle first)
- 4.725 Å, 18.8 deg, I 35
- 3.078 Å, 29.0 deg, I 23
- 2.974 Å, 30.0 deg, I 99
- 2.839 Å, 31.5 deg, I 100
- 2.809 Å, 31.9 deg, I 31
- 2.381 Å, 37.8 deg, I 45
- 2.283 Å, 39.5 deg, I 19
- 1.832 Å, 49.8 deg, I 20
- 1.667 Å, 55.1 deg, I 17
- 1.553 Å, 59.5 deg, I 14

Atomic structure:
Lattice parameters (Å, degrees): 9.3285 6.5107 10.3813 62.15 38.11 79.74
Fractional coordinates of all 10 atoms:
Pb  0.0000  0.0000  0.0000
Pb  0.2500  0.2500  0.2500
Pb  0.4345  0.5418  0.3830
Pb  0.5418  0.4345  0.6407
Pb  0.6093  0.8670  0.7082
Pb  0.8670  0.6093  0.8155
Br  0.1061  0.7194  0.2583
Br  0.3338  0.9917  0.5306
Br  0.7194  0.1061  0.9162
Br  0.9917  0.3338  0.1439

***

3.
This entry pairs a crystal structure of HfUSi with its calculated powder XRD pattern. Radiation: λ = 1.5418 Å (Cu Kα). Structure: DFT lattice parameters and positions (PBE).

Peak list (10 most intense, 2θ = 10–90°, low angle first)
- 4.949 Å, 17.9 deg, I 30
- 3.709 Å, 24.0 deg, I 60
- 2.532 Å, 35.5 deg, I 20
- 2.474 Å, 36.3 deg, I 29
- 2.452 Å, 36.7 deg, I 100
- 2.385 Å, 37.7 deg, I 74
- 2.325 Å, 38.7 deg, I 37
- 1.725 Å, 53.1 deg, I 25
- 1.385 Å, 67.6 deg, I 25
- 1.292 Å, 73.2 deg, I 21

Atomic structure:
Lattice parameters (Å, degrees): 5.6772 5.6772 5.6772 131.65 114.41 85.54
Fractional coordinates of all 6 atoms:
Hf  0.2379  0.0000  0.2379
Hf  0.7621  0.0000  0.7621
U  0.3535  0.3535  0.0000
U  0.6465  0.6465  0.0000
Si  0.1538  0.6538  0.5000
Si  0.8462  0.3462  0.5000

***

4.
This entry pairs a crystal structure of Hf4Al2Pd with its calculated powder XRD pattern. Radiation: λ = 1.5418 Å (Cu Kα). Structure: DFT lattice parameters and positions (PBE).

Peak list (10 most intense, 2θ = 10–90°, low angle first)
- 7.265 Å, 12.2 deg, I 40
- 4.581 Å, 19.4 deg, I 50
- 3.418 Å, 26.1 deg, I 26
- 3.090 Å, 28.9 deg, I 100
- 2.489 Å, 36.1 deg, I 76
- 2.422 Å, 37.1 deg, I 30
- 2.414 Å, 37.3 deg, I 83
- 1.733 Å, 52.8 deg, I 34
- 1.708 Å, 53.6 deg, I 71
- 1.494 Å, 62.1 deg, I 24

Atomic structure:
Lattice parameters (Å, degrees): 8.0270 8.0270 8.0270 145.00 145.00 50.33
Fractional coordinates of all 7 atoms:
Hf  0.0000  0.5000  0.5000
Hf  0.1845  0.1845  0.0000
Hf  0.5000  0.0000  0.5000
Hf  0.8155  0.8155  0.0000
Al  0.3754  0.3754  0.0000
Al  0.6246  0.6246  0.0000
Pd  0.0000  0.0000  0.0000

***

Repeat the fourth record exactly.
This entry pairs a crystal structure of Hf4Al2Pd with its calculated powder XRD pattern. Radiation: λ = 1.5418 Å (Cu Kα). Structure: DFT lattice parameters and positions (PBE).

Peak list (10 most intense, 2θ = 10–90°, low angle first)
- 7.265 Å, 12.2 deg, I 40
- 4.581 Å, 19.4 deg, I 50
- 3.418 Å, 26.1 deg, I 26
- 3.090 Å, 28.9 deg, I 100
- 2.489 Å, 36.1 deg, I 76
- 2.422 Å, 37.1 deg, I 30
- 2.414 Å, 37.3 deg, I 83
- 1.733 Å, 52.8 deg, I 34
- 1.708 Å, 53.6 deg, I 71
- 1.494 Å, 62.1 deg, I 24

Atomic structure:
Lattice parameters (Å, degrees): 8.0270 8.0270 8.0270 145.00 145.00 50.33
Fractional coordinates of all 7 atoms:
Hf  0.0000  0.5000  0.5000
Hf  0.1845  0.1845  0.0000
Hf  0.5000  0.0000  0.5000
Hf  0.8155  0.8155  0.0000
Al  0.3754  0.3754  0.0000
Al  0.6246  0.6246  0.0000
Pd  0.0000  0.0000  0.0000